Computed powder diffractogram
Compound: RbLa2Cu3Se5
Radiation: Cu Kα (λ = 1.5418 Å)
Structure: the PBE geometry in OQMD
No peak broadening, texture or thermal motion is included.

Atomic structure:
Cell: 4.252 14.688 17.925 Å, 90.00 90.00 90.00°
Space group Cmcm (No. 63)
Unique sites:
Rb 0.000 0.062 0.250 (multiplicity 4)
La 0.000 0.192 0.592 (multiplicity 8)
Cu 0.000 0.338 0.250 (multiplicity 4)
Cu 0.000 0.417 0.528 (multiplicity 8)
Se 0.000 0.159 0.071 (multiplicity 8)
Se 0.000 0.241 0.750 (multiplicity 4)
Se 0.000 0.445 0.115 (multiplicity 8)

Most intense lines, 2θ = 5–70°, in order of rising 2θ:
two_theta, I_rel, hkl
9.87, 43, 0 0 2
27.77, 100, 1 3 0
28.24, 96, 1 3 1
29.56, 78, 1 3 2
29.91, 84, 0 0 6
34.36, 77, 1 3 4
37.19, 73, 1 5 0
39.79, 36, 0 6 3
42.52, 83, 2 0 0
45.29, 96, 1 3 7